No. 1
This entry pairs a crystal structure of YTmTa2Si2 with its simulated X-ray diffraction stick pattern. Radiation: Cu Kα (λ = 1.5418 Å). Structure: a crystal structure in OQMD, relaxed with GGA-PBE.

Crystal structure
```
data_YTmTa2Si2
_cell_length_a 3.9929
_cell_length_b 3.9929
_cell_length_c 7.7031
_cell_angle_alpha 90.00
_cell_angle_beta 90.00
_cell_angle_gamma 90.00
_space_group_name_H-M_alt 'P 4 m m'
_space_group_IT_number 99
_space_group_name_Hall 'P 4 -2'
loop_
_atom_site_label
_atom_site_fract_x
_atom_site_fract_y
_atom_site_fract_z
Y1 0.0000 0.0000 0.0000
Tm1 0.5000 0.5000 0.7054
Ta1 0.0000 0.5000 0.3559
Si1 0.0000 0.0000 0.5975
Si2 0.5000 0.5000 0.1144
```

The 10 most intense peaks (15 to 90 degrees two-theta), low angle first:
25.1 deg, I 19
32.3 deg, I 28
33.8 deg, I 100
34.9 deg, I 30
39.6 deg, I 60
45.4 deg, I 38
58.0 deg, I 22
58.6 deg, I 28
76.4 deg, I 19
80.0 deg, I 16



No. 2
This entry pairs a crystal structure of Ni17W12 with its simulated X-ray diffraction stick pattern. Radiation: Cu Kα (λ = 1.5418 Å). Structure: a crystal structure in OQMD, relaxed with GGA-PBE.

Crystal structure
```
data_Ni17W12
_cell_length_a 9.1325
_cell_length_b 9.1325
_cell_length_c 9.1325
_cell_angle_alpha 90.00
_cell_angle_beta 90.00
_cell_angle_gamma 90.00
_space_group_name_H-M_alt 'I -4 3 m'
_space_group_IT_number 217
_space_group_name_Hall 'I -4 2 3'
loop_
_atom_site_label
_atom_site_fract_x
_atom_site_fract_y
_atom_site_fract_z
Ni1 0.0000 0.0000 0.0000
Ni2 0.0903 0.0903 0.7224
Ni3 0.1663 0.1663 0.1663
W1 0.0499 0.3548 0.6452
```

The 10 most intense peaks (15 to 90 degrees two-theta), low angle first:
23.9 deg, I 8
34.0 deg, I 11
36.8 deg, I 12
39.5 deg, I 13
42.0 deg, I 100
46.6 deg, I 17
51.0 deg, I 20
76.7 deg, I 28
78.4 deg, I 9
80.0 deg, I 12



No. 3
This entry pairs a crystal structure of ZnCu2SnS4 with its simulated X-ray diffraction stick pattern. Radiation: Cu Kα (λ = 1.5418 Å). Structure: a crystal structure in OQMD, relaxed with GGA-PBE.

Crystal structure
```
data_ZnCu2SnS4
_cell_length_a 5.4554
_cell_length_b 5.4554
_cell_length_c 10.8722
_cell_angle_alpha 90.00
_cell_angle_beta 90.00
_cell_angle_gamma 90.00
_space_group_name_H-M_alt 'P -4 2 c'
_space_group_IT_number 112
_space_group_name_Hall 'P -4 2c'
loop_
_atom_site_label
_atom_site_fract_x
_atom_site_fract_y
_atom_site_fract_z
Zn1 0.0000 0.0000 0.0000
Cu1 0.0000 0.5000 0.2500
Cu2 0.5000 0.5000 0.0000
Sn1 0.0000 0.5000 0.7500
S1 0.2426 0.2667 0.3794
```

The 10 most intense peaks (15 to 90 degrees two-theta), low angle first:
28.4 deg, I 100
32.8 deg, I 11
47.2 deg, I 59
55.9 deg, I 28
56.1 deg, I 14
68.8 deg, I 6
76.1 deg, I 5
76.2 deg, I 11
87.7 deg, I 13
87.9 deg, I 6



No. 4
This entry pairs a crystal structure of Tb2Tm2O5 with its simulated X-ray diffraction stick pattern. Radiation: Cu Kα (λ = 1.5418 Å). Structure: a crystal structure in OQMD, relaxed with GGA-PBE.

Crystal structure
```
data_Tb2Tm2O5
_cell_length_a 3.8821
_cell_length_b 3.8821
_cell_length_c 9.3696
_cell_angle_alpha 90.00
_cell_angle_beta 90.00
_cell_angle_gamma 90.00
_space_group_name_H-M_alt 'P 4/m m m'
_space_group_IT_number 123
_space_group_name_Hall '-P 4 2'
loop_
_atom_site_label
_atom_site_fract_x
_atom_site_fract_y
_atom_site_fract_z
Tb1 0.0000 0.0000 0.2417
Tm1 0.5000 0.5000 0.0000
Tm2 0.5000 0.5000 0.5000
O1 0.0000 0.0000 0.5000
O2 0.0000 0.5000 0.1409
```

The 10 most intense peaks (15 to 90 degrees two-theta), low angle first:
29.9 deg, I 100
32.6 deg, I 36
38.4 deg, I 12
46.8 deg, I 19
51.3 deg, I 28
56.5 deg, I 34
62.1 deg, I 12
64.3 deg, I 11
76.3 deg, I 7
83.2 deg, I 11



No. 5
This entry pairs a crystal structure of Zn2Cd2Te3Se with its simulated X-ray diffraction stick pattern. Radiation: Cu Kα (λ = 1.5418 Å). Structure: a crystal structure in OQMD, relaxed with GGA-PBE.

Crystal structure
```
data_Zn2Cd2Te3Se
_cell_length_a 13.8915
_cell_length_b 6.2891
_cell_length_c 6.2842
_cell_angle_alpha 90.00
_cell_angle_beta 116.58
_cell_angle_gamma 90.00
_space_group_name_H-M_alt 'C 1 2 1'
_space_group_IT_number 5
_space_group_name_Hall 'C 2y'
loop_
_atom_site_label
_atom_site_fract_x
_atom_site_fract_y
_atom_site_fract_z
Zn1 0.1196 0.0000 0.3818
Cd1 0.1207 0.5220 0.8607
Te1 0.0000 0.2349 0.0000
Te2 0.2500 0.2600 0.7252
Se1 0.0000 0.7859 0.5000
```

The 10 most intense peaks (15 to 90 degrees two-theta), low angle first:
24.6 deg, I 100
40.6 deg, I 25
40.7 deg, I 13
40.8 deg, I 25
41.0 deg, I 12
48.0 deg, I 23
48.4 deg, I 8
48.6 deg, I 7
58.7 deg, I 8
73.9 deg, I 7



No. 6
This entry pairs a crystal structure of Sc2CuAgGe2 with its simulated X-ray diffraction stick pattern. Radiation: Cu Kα (λ = 1.5418 Å). Structure: a crystal structure in OQMD, relaxed with GGA-PBE.

Crystal structure
```
data_Sc2CuAgGe2
_cell_length_a 7.5240
_cell_length_b 4.3061
_cell_length_c 14.3367
_cell_angle_alpha 90.00
_cell_angle_beta 99.42
_cell_angle_gamma 90.00
_space_group_name_H-M_alt 'P 1 m 1'
_space_group_IT_number 6
_space_group_name_Hall 'P -2y'
loop_
_atom_site_label
_atom_site_fract_x
_atom_site_fract_y
_atom_site_fract_z
Sc1 0.0000 0.0000 0.0000
Sc2 0.0081 0.5000 0.4930
Sc3 0.2361 0.0000 0.7364
Sc4 0.2468 0.5000 0.2416
Sc5 0.4811 0.0000 0.4834
Sc6 0.4993 0.5000 0.9987
Sc7 0.7428 0.0000 0.2369
Sc8 0.7578 0.5000 0.7399
Cu1 0.0610 0.0000 0.1830
Cu2 0.0607 0.5000 0.6764
Cu3 0.3060 0.5000 0.4252
Cu4 0.5578 0.5000 0.1815
Ag1 0.3080 0.0000 0.9286
Ag2 0.5576 0.0000 0.6750
Ag3 0.8083 0.0000 0.4275
Ag4 0.8113 0.5000 0.9307
Ge1 0.1203 0.5000 0.8600
Ge2 0.1272 0.0000 0.3633
Ge3 0.3607 0.5000 0.6096
Ge4 0.3725 0.0000 0.1223
Ge5 0.6092 0.5000 0.3620
Ge6 0.6215 0.0000 0.8658
Ge7 0.8749 0.5000 0.1237
Ge8 0.8818 0.0000 0.6174
```

The 10 most intense peaks (15 to 90 degrees two-theta), low angle first:
25.2 deg, I 82
41.7 deg, I 100
41.9 deg, I 49
49.1 deg, I 13
49.6 deg, I 25
60.8 deg, I 15
66.5 deg, I 10
75.9 deg, I 15
76.4 deg, I 15
76.5 deg, I 15



No. 7
This entry pairs a crystal structure of TmSc2Al3CuGe2 with its simulated X-ray diffraction stick pattern. Radiation: Cu Kα (λ = 1.5418 Å). Structure: a crystal structure in OQMD, relaxed with GGA-PBE.

Crystal structure
```
data_TmSc2Al3CuGe2
_cell_length_a 4.0260
_cell_length_b 11.8370
_cell_length_c 6.7902
_cell_angle_alpha 90.00
_cell_angle_beta 90.00
_cell_angle_gamma 90.00
_space_group_name_H-M_alt 'A m m 2'
_space_group_IT_number 38
_space_group_name_Hall 'A 2 -2'
loop_
_atom_site_label
_atom_site_fract_x
_atom_site_fract_y
_atom_site_fract_z
Tm1 0.0000 0.0000 0.0000
Sc1 0.0000 0.2018 0.3930
Al1 0.5000 0.0000 0.3585
Al2 0.5000 0.1190 0.7097
Cu1 0.0000 0.0000 0.5884
Ge1 0.5000 0.1702 0.0953
```

The 10 most intense peaks (15 to 90 degrees two-theta), low angle first:
15.0 deg, I 56
26.2 deg, I 34
26.8 deg, I 58
34.5 deg, I 100
34.6 deg, I 41
37.7 deg, I 55
37.9 deg, I 88
40.4 deg, I 30
45.0 deg, I 40
46.5 deg, I 31



No. 8
This entry pairs a crystal structure of HfZrGe2Sb2 with its simulated X-ray diffraction stick pattern. Radiation: Cu Kα (λ = 1.5418 Å). Structure: a crystal structure in OQMD, relaxed with GGA-PBE.

Crystal structure
```
data_HfZrGe2Sb2
_cell_length_a 3.8389
_cell_length_b 3.8389
_cell_length_c 8.6672
_cell_angle_alpha 90.00
_cell_angle_beta 90.00
_cell_angle_gamma 90.00
_space_group_name_H-M_alt 'P 4 m m'
_space_group_IT_number 99
_space_group_name_Hall 'P 4 -2'
loop_
_atom_site_label
_atom_site_fract_x
_atom_site_fract_y
_atom_site_fract_z
Hf1 0.0000 0.0000 0.0000
Zr1 0.5000 0.5000 0.5011
Ge1 0.0000 0.5000 0.7519
Sb1 0.0000 0.0000 0.3623
Sb2 0.5000 0.5000 0.1370
```

The 10 most intense peaks (15 to 90 degrees two-theta), low angle first:
31.1 deg, I 53
33.0 deg, I 45
34.6 deg, I 73
39.0 deg, I 100
39.2 deg, I 64
47.4 deg, I 55
57.8 deg, I 18
63.0 deg, I 48
74.4 deg, I 18
82.5 deg, I 26



No. 9
This entry pairs a crystal structure of Cs2NiCl5 with its simulated X-ray diffraction stick pattern. Radiation: Cu Kα (λ = 1.5418 Å). Structure: a crystal structure in OQMD, relaxed with GGA-PBE.

Crystal structure
```
data_Cs2NiCl5
_cell_length_a 7.3563
_cell_length_b 7.3563
_cell_length_c 9.8931
_cell_angle_alpha 90.00
_cell_angle_beta 90.00
_cell_angle_gamma 90.00
_space_group_name_H-M_alt 'I 4 m m'
_space_group_IT_number 107
_space_group_name_Hall 'I 4 -2'
loop_
_atom_site_label
_atom_site_fract_x
_atom_site_fract_y
_atom_site_fract_z
Cs1 0.0000 0.5000 0.0000
Ni1 0.0000 0.0000 0.2257
Cl1 0.0000 0.0000 0.9911
Cl2 0.2123 0.2123 0.2526
```

The 10 most intense peaks (15 to 90 degrees two-theta), low angle first:
15.0 deg, I 47
17.0 deg, I 30
24.2 deg, I 32
24.8 deg, I 100
30.3 deg, I 92
34.5 deg, I 55
36.3 deg, I 26
43.0 deg, I 37
51.0 deg, I 32
59.2 deg, I 18



No. 10
This entry pairs a crystal structure of AlB3Mo4 with its simulated X-ray diffraction stick pattern. Radiation: Cu Kα (λ = 1.5418 Å). Structure: a crystal structure in OQMD, relaxed with GGA-PBE.

Crystal structure
```
data_AlB3Mo4
_cell_length_a 3.1190
_cell_length_b 3.1190
_cell_length_c 23.6822
_cell_angle_alpha 90.00
_cell_angle_beta 90.00
_cell_angle_gamma 120.00
_space_group_name_H-M_alt 'P 63/m m c'
_space_group_IT_number 194
_space_group_name_Hall '-P 6c 2c'
loop_
_atom_site_label
_atom_site_fract_x
_atom_site_fract_y
_atom_site_fract_z
Al1 0.3333 0.6667 0.2500
B1 0.0000 0.0000 0.0000
B2 0.3333 0.6667 0.6112
Mo1 0.0000 0.0000 0.1607
Mo2 0.3333 0.6667 0.0562
```

The 10 most intense peaks (15 to 90 degrees two-theta), low angle first:
34.0 deg, I 44
35.1 deg, I 27
36.6 deg, I 35
38.0 deg, I 33
38.4 deg, I 62
40.5 deg, I 100
57.9 deg, I 22
59.3 deg, I 42
72.6 deg, I 29
72.9 deg, I 26



No. 11
This entry pairs a crystal structure of K2HfF6 with its simulated X-ray diffraction stick pattern. Radiation: Cu Kα (λ = 1.5418 Å). Structure: a crystal structure in OQMD, relaxed with GGA-PBE.

Crystal structure
```
data_K2HfF6
_cell_length_a 5.3619
_cell_length_b 5.3619
_cell_length_c 10.9794
_cell_angle_alpha 90.00
_cell_angle_beta 90.00
_cell_angle_gamma 90.00
_space_group_name_H-M_alt 'P 42/m n m'
_space_group_IT_number 136
_space_group_name_Hall '-P 4n 2n'
loop_
_atom_site_label
_atom_site_fract_x
_atom_site_fract_y
_atom_site_fract_z
K1 0.0000 0.0000 0.1662
Hf1 0.0000 0.0000 0.5000
F1 0.1787 0.1787 0.3665
F2 0.2364 0.2364 0.0000
```

The 10 most intense peaks (15 to 90 degrees two-theta), low angle first:
16.1 deg, I 40
18.4 deg, I 100
23.5 deg, I 92
28.6 deg, I 26
29.6 deg, I 70
38.4 deg, I 21
45.2 deg, I 63
48.0 deg, I 18
56.8 deg, I 19
57.4 deg, I 20



No. 12
This entry pairs a crystal structure of TeMo2S3 with its simulated X-ray diffraction stick pattern. Radiation: Cu Kα (λ = 1.5418 Å). Structure: a crystal structure in OQMD, relaxed with GGA-PBE.

Crystal structure
```
data_TeMo2S3
_cell_length_a 3.2753
_cell_length_b 3.2753
_cell_length_c 13.4024
_cell_angle_alpha 90.00
_cell_angle_beta 90.00
_cell_angle_gamma 120.00
_space_group_name_H-M_alt 'P 3 m 1'
_space_group_IT_number 156
_space_group_name_Hall 'P 3 -2"'
loop_
_atom_site_label
_atom_site_fract_x
_atom_site_fract_y
_atom_site_fract_z
Te1 0.0000 0.0000 0.0000
Mo1 0.0000 0.0000 0.3695
Mo2 0.3333 0.6667 0.8548
S1 0.0000 0.0000 0.7429
S2 0.3333 0.6667 0.2549
S3 0.3333 0.6667 0.4842
```

The 10 most intense peaks (15 to 90 degrees two-theta), low angle first:
31.5 deg, I 41
32.3 deg, I 11
34.3 deg, I 26
37.6 deg, I 100
46.6 deg, I 48
56.2 deg, I 26
58.0 deg, I 12
69.5 deg, I 16
75.9 deg, I 11
82.3 deg, I 14